[1]
Cu11Au3: computed powder XRD pattern (copper Kα), based on a structure optimized by DFT (GGA-PBE).

Crystal structure
```
Cu11Au3
1.0
-1.994 4.710 5.088
1.994 -4.710 5.088
1.994 4.710 -5.088
Cu Au
11 3
direct
0.000 0.000 0.000 Cu
0.072 0.854 0.219 Cu
0.151 0.500 0.651 Cu
0.243 0.372 0.871 Cu
0.365 0.146 0.219 Cu
0.499 0.628 0.871 Cu
0.501 0.372 0.129 Cu
0.635 0.854 0.781 Cu
0.757 0.628 0.129 Cu
0.849 0.500 0.349 Cu
0.928 0.146 0.781 Cu
0.218 0.718 0.500 Au
0.500 0.000 0.500 Au
0.782 0.282 0.500 Au
```

Top 6 peaks for 2θ from 15° to 90°, by angle:
- 2θ = 36.42°, intensity 62
- 2θ = 39.79°, intensity 100
- 2θ = 40.29°, intensity 43
- 2θ = 43.26°, intensity 69
- 2θ = 45.49°, intensity 53
- 2θ = 45.61°, intensity 51

***

[2]
Dy6Cu2Au: computed powder XRD pattern (copper Kα), based on a structure optimized by DFT (GGA-PBE).

Crystal structure
```
Dy6Cu2Au
1.0
-4.761 4.823 4.948
4.761 -4.823 4.948
4.761 4.823 -4.948
Dy Cu Au
12 4 2
direct
0.059 0.247 0.812 Dy
0.178 0.274 0.452 Dy
0.178 0.726 0.905 Dy
0.326 0.024 0.698 Dy
0.326 0.627 0.302 Dy
0.436 0.247 0.188 Dy
0.564 0.753 0.812 Dy
0.674 0.373 0.698 Dy
0.674 0.976 0.302 Dy
0.822 0.274 0.095 Dy
0.822 0.726 0.548 Dy
0.941 0.753 0.188 Dy
0.121 0.621 0.500 Cu
0.354 0.000 0.354 Cu
0.646 0.000 0.646 Cu
0.879 0.379 0.500 Cu
0.000 0.000 0.000 Au
0.500 0.500 0.000 Au
```

Top 6 peaks for 2θ from 15° to 90°, by angle:
- 2θ = 29.63°, intensity 31
- 2θ = 32.02°, intensity 100
- 2θ = 34.36°, intensity 34
- 2θ = 34.58°, intensity 63
- 2θ = 34.87°, intensity 40
- 2θ = 37.79°, intensity 29

***

[3]
Dy3Cu3Au: computed powder XRD pattern (copper Kα), based on a structure optimized by DFT (GGA-PBE).

Crystal structure
```
Dy3Cu3Au
1.0
3.608 0.000 0.000
0.000 4.313 0.000
0.000 0.000 19.023
Dy Cu Au
6 6 2
direct
0.000 0.000 0.000 Dy
0.000 0.000 0.374 Dy
0.000 0.500 0.181 Dy
0.500 0.000 0.681 Dy
0.500 0.500 0.500 Dy
0.500 0.500 0.874 Dy
0.000 0.000 0.545 Cu
0.000 0.000 0.834 Cu
0.000 0.500 0.615 Cu
0.500 0.000 0.115 Cu
0.500 0.500 0.045 Cu
0.500 0.500 0.334 Cu
0.000 0.500 0.750 Au
0.500 0.000 0.250 Au
```

Top 6 peaks for 2θ from 15° to 90°, by angle:
- 2θ = 24.97°, intensity 23
- 2θ = 33.73°, intensity 100
- 2θ = 34.25°, intensity 50
- 2θ = 39.18°, intensity 41
- 2θ = 41.89°, intensity 30
- 2θ = 55.18°, intensity 26